Diffraction record for KCrO3F. The PXRD pattern is calculated, not measured: it uses a crystal structure in the Materials Project, relaxed with GGA+U and Cu Kα, 1.54184 Å.
Kinematic intensities with the Lorentz-polarization factor, no thermal factor.

Cell and atoms:
Unit cell a=5.633 b=5.635 c=7.707 alpha=110.38 beta=110.94 gamma=90.02
Space group P1 (No. 1)
Unique sites:
K 0.000 0.000 0.000
K 0.247 0.752 0.500
Cr 0.487 0.495 0.996
Cr 0.746 0.240 0.496
O 0.334 0.479 0.136
O 0.335 0.649 0.855
O 0.456 0.091 0.359
O 0.507 0.209 0.858
O 0.896 0.259 0.354
O 0.900 0.087 0.635
F 0.727 0.560 0.646
F 0.808 0.663 0.145

The 12 most intense peaks (15 to 90 degrees two-theta), in order of rising 2θ:
- 16.99 deg, intensity 27.8
- 17.17 deg, intensity 32.1
- 25.80 deg, intensity 100.0
- 25.95 deg, intensity 91.9
- 26.13 deg, intensity 90.6
- 26.29 deg, intensity 92.8
- 26.69 deg, intensity 53.6
- 31.77 deg, intensity 62.2
- 41.77 deg, intensity 23.2
- 53.04 deg, intensity 25.6
- 53.44 deg, intensity 31.1
- 75.48 deg, intensity 22.3